(1)
# Nb2GeSb2
Theoretical powder XRD pattern, CuKα. Input: a DFT-relaxed cell (GGA-PBE, the Materials Project).

The 12 most intense peaks (2θ = 10–90°), most intense first:
- 2θ 30.86, rel. 100.0
- 2θ 44.49, rel. 54.0
- 2θ 44.21, rel. 36.7
- 2θ 31.24, rel. 36.4
- 2θ 55.13, rel. 28.3
- 2θ 81.55, rel. 17.9
- 2θ 73.02, rel. 16.0
- 2θ 40.04, rel. 14.4
- 2θ 24.88, rel. 12.8
- 2θ 73.23, rel. 11.9
- 2θ 64.31, rel. 11.8
- 2θ 51.39, rel. 6.9

Structural model:
Cell: 2.897 2.897 14.314 Å, 90.00 90.00 90.00°
Space group P4/mmm (No. 123)
Inequivalent atoms, fractional coordinates:
Nb 0.000 0.000 0.180 [2 per cell]
Ge 0.000 0.000 0.000 [1 per cell]
Sb 0.000 0.000 0.383 [2 per cell]


(2)
# Sc2Nb3Ge4
Theoretical powder XRD pattern, CuKα. Input: a DFT-relaxed cell (GGA-PBE, the Materials Project).

The 12 most intense peaks (2θ = 10–90°), most intense first:
- 2θ 41.46, rel. 100.0
- 2θ 41.14, rel. 92.6
- 2θ 34.96, rel. 92.4
- 2θ 35.35, rel. 82.6
- 2θ 39.72, rel. 63.0
- 2θ 37.03, rel. 59.4
- 2θ 39.37, rel. 58.5
- 2θ 38.27, rel. 54.8
- 2θ 37.15, rel. 49.5
- 2θ 42.83, rel. 43.2
- 2θ 14.19, rel. 43.0
- 2θ 63.13, rel. 29.2

Structural model:
Cell: 6.869 13.385 7.054 Å, 90.00 90.00 90.00°
Space group Pnma (No. 62)
Inequivalent atoms, fractional coordinates:
Sc 0.006 0.094 0.177 [8 per cell]
Nb 0.160 0.625 0.331 [8 per cell]
Nb 0.164 0.250 0.510 [4 per cell]
Ge 0.040 0.250 0.885 [4 per cell]
Ge 0.181 0.040 0.534 [8 per cell]
Ge 0.195 0.750 0.648 [4 per cell]


(3)
# Sc2Nb3Ge4
Theoretical powder XRD pattern, CuKα. Input: a DFT-relaxed cell (GGA-PBE, the Materials Project).

The 12 most intense peaks (2θ = 10–90°), most intense first:
- 2θ 35.19, rel. 100.0
- 2θ 35.68, rel. 96.3
- 2θ 42.00, rel. 68.7
- 2θ 41.45, rel. 42.9
- 2θ 37.21, rel. 40.4
- 2θ 40.55, rel. 35.4
- 2θ 38.45, rel. 30.8
- 2θ 37.53, rel. 23.0
- 2θ 36.90, rel. 22.6
- 2θ 59.81, rel. 20.9
- 2θ 40.87, rel. 20.0
- 2θ 43.13, rel. 19.8

Structural model:
Cell: 6.780 13.348 7.006 Å, 90.00 90.00 90.00°
Space group Pnma (No. 62)
Inequivalent atoms, fractional coordinates:
Sc 0.157 0.124 0.167 [8 per cell]
Nb 0.009 0.591 0.322 [8 per cell]
Nb 0.168 0.750 0.003 [4 per cell]
Ge 0.036 0.750 0.602 [4 per cell]
Ge 0.189 0.541 0.966 [8 per cell]
Ge 0.191 0.250 0.848 [4 per cell]


(4)
# Nb6SiGe
Theoretical powder XRD pattern, CuKα. Input: a DFT-relaxed cell (GGA-PBE, the Materials Project).

The 12 most intense peaks (2θ = 10–90°), most intense first:
- 2θ 39.08, rel. 100.0
- 2θ 42.99, rel. 44.7
- 2θ 68.07, rel. 22.1
- 2θ 65.27, rel. 21.5
- 2θ 34.81, rel. 20.5
- 2θ 86.54, rel. 19.3
- 2θ 62.42, rel. 12.1
- 2θ 73.50, rel. 11.5
- 2θ 24.42, rel. 9.1
- 2θ 83.97, rel. 6.1
- 2θ 89.11, rel. 5.4
- 2θ 17.20, rel. 2.1

Structural model:
Cell: 5.154 5.154 5.154 Å, 90.00 90.00 90.00°
Space group Pm-3 (No. 200)
Inequivalent atoms, fractional coordinates:
Nb 0.000 0.246 0.500 [6 per cell]
Si 0.000 0.000 0.000 [1 per cell]
Ge 0.500 0.500 0.500 [1 per cell]


(5)
# NbSiGe
Theoretical powder XRD pattern, CuKα. Input: a DFT-relaxed cell (GGA-PBE, the Materials Project).

The 12 most intense peaks (2θ = 10–90°), most intense first:
- 2θ 39.02, rel. 100.0
- 2θ 45.72, rel. 63.8
- 2θ 67.48, rel. 38.1
- 2θ 40.23, rel. 34.4
- 2θ 24.75, rel. 31.1
- 2θ 72.27, rel. 16.9
- 2θ 36.56, rel. 14.9
- 2θ 77.70, rel. 14.2
- 2θ 33.98, rel. 13.8
- 2θ 81.60, rel. 11.4
- 2θ 55.48, rel. 8.7
- 2θ 42.47, rel. 7.9

Structural model:
Cell: 4.9159 4.9159 6.7243 Å, 90.00 90.00 120.00°
Space group P3_212 (No. 153)
Inequivalent atoms, fractional coordinates:
Nb 0.0037 0.5019 0.0000 [3 per cell]
Si 0.1623 0.3246 0.3333 [3 per cell]
Ge 0.3233 0.1616 0.0000 [3 per cell]


(6)
# Nb10Sn3Ge3
Theoretical powder XRD pattern, CuKα. Input: a DFT-relaxed cell (GGA-PBE, the Materials Project).

The 12 most intense peaks (2θ = 10–90°), most intense first:
- 2θ 38.31, rel. 100.0
- 2θ 39.21, rel. 94.0
- 2θ 39.06, rel. 92.3
- 2θ 37.95, rel. 42.6
- 2θ 34.20, rel. 37.6
- 2θ 35.21, rel. 35.8
- 2θ 42.04, rel. 28.4
- 2θ 64.60, rel. 21.2
- 2θ 64.50, rel. 21.1
- 2θ 42.18, rel. 20.9
- 2θ 34.97, rel. 20.2
- 2θ 73.84, rel. 19.6

Structural model:
Cell: 5.243 15.010 14.867 Å, 90.00 90.00 90.00°
Space group Fmm2 (No. 42)
Inequivalent atoms, fractional coordinates:
Nb 0.000 0.102 0.000 [8 per cell]
Nb 0.000 0.103 0.359 [8 per cell]
Nb 0.000 0.170 0.789 [8 per cell]
Nb 0.000 0.176 0.576 [8 per cell]
Nb 0.249 0.000 0.688 [8 per cell]
Sn 0.000 0.000 0.516 [4 per cell]
Sn 0.000 0.169 0.181 [8 per cell]
Ge 0.000 0.000 0.850 [4 per cell]
Ge 0.250 0.250 0.431 [8 per cell]